Structure and simulated powder diffractogram of Tb2Bi5O12 (DFT lattice parameters and positions (PBE); Cu Kα X-rays).

Main lines, in order of falling intensity (5° ≤ 2θ ≤ 70°):
- 27.76 deg, intensity 100
- 25.67 deg, intensity 90
- 29.99 deg, intensity 35
- 33.54 deg, intensity 34
- 32.85 deg, intensity 27
- 29.60 deg, intensity 26
- 26.01 deg, intensity 26
- 50.14 deg, intensity 24
- 46.97 deg, intensity 23
- 31.30 deg, intensity 21

Structure:
a b c (Å): 12.540 6.852 7.277
angles (deg): 90.00 105.70 90.00
Space group C2/m (No. 12)
One atom of each set of equivalent atoms:
Tb  0.000  0.244  0.000 (multiplicity 4)
Bi  0.000  0.000  0.500 (multiplicity 2)
Bi  0.198  0.500  0.865 (multiplicity 4)
Bi  0.205  0.500  0.371 (multiplicity 4)
O  0.016  0.500  0.805 (multiplicity 4)
O  0.024  0.000  0.807 (multiplicity 4)
O  0.140  0.203  0.532 (multiplicity 8)
O  0.185  0.305  0.111 (multiplicity 8)

=====

Structure and simulated powder diffractogram of Al2Cr2Os (DFT lattice parameters and positions (PBE); Cu Kα X-rays).

Main lines, in order of falling intensity (5° ≤ 2θ ≤ 70°):
- 42.51 deg, intensity 100
- 18.66 deg, intensity 70
- 40.23 deg, intensity 63
- 35.32 deg, intensity 60
- 37.84 deg, intensity 31
- 52.72 deg, intensity 29
- 26.51 deg, intensity 27
- 61.69 deg, intensity 25
- 48.83 deg, intensity 18
- 66.70 deg, intensity 16

Structure:
a b c (Å): 6.726 6.726 3.007
angles (deg): 90.00 90.00 90.00
Space group P4/mbm (No. 127)
One atom of each set of equivalent atoms:
Al  0.134  0.366  0.000 (multiplicity 4)
Cr  0.166  0.666  0.500 (multiplicity 4)
Os  0.000  0.000  0.000 (multiplicity 2)